SiNi: computed powder X-ray diffraction pattern (Cu Kα, 1.54184 Å), based on a cell relaxed with PBE.
Intensities are scaled so that the largest is 100.

Structure:
Unit cell a=4.504 b=4.504 c=4.504 alpha=90.00 beta=90.00 gamma=90.00
Fractional positions:
Si 0.153 0.347 0.653
Si 0.347 0.653 0.153
Si 0.653 0.153 0.347
Si 0.847 0.847 0.847
Ni 0.150 0.150 0.150
Ni 0.350 0.850 0.650
Ni 0.650 0.350 0.850
Ni 0.850 0.650 0.350

Top 8 peaks for 2θ = 10–90°, most intense first:
| 2theta | intensity |
| --- | --- |
| 45.01 | 100 |
| 49.58 | 47 |
| 79.65 | 30 |
| 28.02 | 20 |
| 34.49 | 18 |
| 40.04 | 11 |
| 69.18 | 9 |
| 61.80 | 7 |



SmMg3Ni8: computed powder X-ray diffraction pattern (Cu Kα, 1.54184 Å), based on a cell relaxed with PBE.
Intensities are scaled so that the largest is 100.

Structure:
Unit cell a=8.484 b=8.484 c=8.484 alpha=33.66 beta=33.66 gamma=33.66
Fractional positions:
Sm 0.000 0.000 0.000
Mg 0.129 0.129 0.129
Mg 0.499 0.499 0.499
Mg 0.619 0.619 0.619
Ni 0.062 0.062 0.556
Ni 0.062 0.556 0.062
Ni 0.066 0.564 0.564
Ni 0.312 0.312 0.312
Ni 0.556 0.062 0.062
Ni 0.564 0.066 0.564
Ni 0.564 0.564 0.066
Ni 0.812 0.812 0.812

Top 8 peaks for 2θ = 10–90°, most intense first:
| 2theta | intensity |
| --- | --- |
| 43.22 | 100 |
| 45.23 | 45 |
| 43.30 | 33 |
| 36.62 | 30 |
| 70.48 | 29 |
| 22.19 | 25 |
| 11.07 | 18 |
| 21.21 | 17 |



La2S2O: computed powder X-ray diffraction pattern (Cu Kα, 1.54184 Å), based on a cell relaxed with PBE.
Intensities are scaled so that the largest is 100.

Structure:
Unit cell a=16.186 b=4.068 c=7.141 alpha=90.00 beta=90.00 gamma=90.00
Fractional positions:
La 0.041 0.250 0.208
La 0.169 0.250 0.756
La 0.331 0.750 0.256
La 0.459 0.750 0.708
La 0.541 0.250 0.292
La 0.669 0.250 0.744
La 0.831 0.750 0.244
La 0.959 0.750 0.792
S 0.102 0.750 0.514
S 0.177 0.750 0.043
S 0.323 0.250 0.543
S 0.398 0.250 0.014
S 0.602 0.750 0.986
S 0.677 0.750 0.457
S 0.823 0.250 0.957
S 0.898 0.250 0.486
O 0.032 0.250 0.867
O 0.468 0.750 0.367
O 0.532 0.250 0.633
O 0.968 0.750 0.133

Top 8 peaks for 2θ = 10–90°, most intense first:
| 2theta | intensity |
| --- | --- |
| 27.54 | 100 |
| 25.30 | 88 |
| 35.23 | 84 |
| 24.94 | 36 |
| 24.49 | 35 |
| 51.92 | 29 |
| 44.54 | 27 |
| 33.67 | 27 |



Sn3P: computed powder X-ray diffraction pattern (Cu Kα, 1.54184 Å), based on a cell relaxed with PBE.
Intensities are scaled so that the largest is 100.

Structure:
Unit cell a=7.347 b=7.347 c=7.347 alpha=90.00 beta=90.00 gamma=90.00
Fractional positions:
Sn 0.000 0.000 0.000
Sn 0.000 0.500 0.500
Sn 0.250 0.250 0.250
Sn 0.250 0.250 0.750
Sn 0.250 0.750 0.250
Sn 0.250 0.750 0.750
Sn 0.500 0.000 0.500
Sn 0.500 0.500 0.000
Sn 0.750 0.250 0.250
Sn 0.750 0.250 0.750
Sn 0.750 0.750 0.250
Sn 0.750 0.750 0.750
P 0.000 0.000 0.500
P 0.000 0.500 0.000
P 0.500 0.000 0.000
P 0.500 0.500 0.500

Top 8 peaks for 2θ = 10–90°, most intense first:
| 2theta | intensity |
| --- | --- |
| 34.53 | 100 |
| 61.87 | 38 |
| 49.63 | 18 |
| 83.15 | 18 |
| 72.82 | 12 |
| 20.94 | 11 |
| 40.73 | 7 |
| 24.23 | 6 |



CdCl2O4: computed powder X-ray diffraction pattern (Cu Kα, 1.54184 Å), based on a cell relaxed with PBE.
Intensities are scaled so that the largest is 100.

Structure:
Unit cell a=7.167 b=13.228 c=14.649 alpha=90.00 beta=90.00 gamma=90.00
Fractional positions:
Cd 0.238 0.020 0.065
Cd 0.249 0.006 0.316
Cd 0.251 0.994 0.816
Cd 0.262 0.980 0.565
Cd 0.738 0.480 0.935
Cd 0.749 0.494 0.684
Cd 0.751 0.506 0.184
Cd 0.762 0.520 0.435
Cl 0.002 0.498 0.307
Cl 0.007 0.978 0.442
Cl 0.012 0.962 0.941
Cl 0.025 0.940 0.691
Cl 0.475 0.060 0.191
Cl 0.488 0.038 0.441
Cl 0.493 0.022 0.942
Cl 0.498 0.502 0.807
Cl 0.502 0.002 0.693
Cl 0.507 0.522 0.558
Cl 0.512 0.538 0.059
Cl 0.525 0.560 0.309
Cl 0.975 0.440 0.809
Cl 0.988 0.462 0.559
Cl 0.993 0.478 0.058
Cl 0.998 0.998 0.193
O 0.172 0.209 0.867
O 0.172 0.220 0.017
O 0.183 0.199 0.599
O 0.211 0.259 0.334
O 0.225 0.685 0.898
O 0.233 0.253 0.939
O 0.246 0.733 0.144
O 0.248 0.284 0.251
O 0.252 0.716 0.751
O 0.254 0.267 0.644
O 0.267 0.747 0.439
O 0.275 0.315 0.398
O 0.289 0.741 0.834
O 0.317 0.801 0.099
O 0.328 0.780 0.517
O 0.328 0.791 0.367
O 0.672 0.280 0.983
O 0.672 0.291 0.133
O 0.683 0.301 0.401
O 0.711 0.241 0.666
O 0.725 0.815 0.102
O 0.733 0.247 0.061
O 0.746 0.767 0.856
O 0.748 0.216 0.749
O 0.752 0.784 0.249
O 0.754 0.233 0.356
O 0.767 0.753 0.561
O 0.775 0.185 0.602
O 0.789 0.759 0.166
O 0.817 0.699 0.901
O 0.828 0.709 0.633
O 0.828 0.720 0.483

Top 8 peaks for 2θ = 10–90°, most intense first:
| 2theta | intensity |
| --- | --- |
| 14.05 | 100 |
| 13.39 | 54 |
| 35.71 | 50 |
| 26.96 | 30 |
| 23.69 | 28 |
| 30.56 | 27 |
| 40.74 | 24 |
| 27.34 | 19 |



MgSb2O4: computed powder X-ray diffraction pattern (Cu Kα, 1.54184 Å), based on a cell relaxed with PBE.
Intensities are scaled so that the largest is 100.

Structure:
Unit cell a=6.513 b=7.127 c=16.952 alpha=89.15 beta=89.25 gamma=63.03
Fractional positions:
Mg 0.000 0.000 0.000
Mg 0.037 0.069 0.635
Mg 0.131 0.733 0.800
Mg 0.410 0.022 0.138
Mg 0.770 0.576 0.326
Mg 0.893 0.331 0.480
Sb 0.128 0.270 0.799
Sb 0.305 0.408 0.609
Sb 0.349 0.835 0.439
Sb 0.367 0.254 0.333
Sb 0.392 0.593 0.121
Sb 0.418 0.193 0.974
Sb 0.629 0.739 0.698
Sb 0.640 0.622 0.923
Sb 0.686 0.161 0.805
Sb 0.843 0.845 0.510
Sb 0.931 0.516 0.157
Sb 0.979 0.957 0.268
O 0.059 0.329 0.379
O 0.081 0.314 0.575
O 0.125 0.716 0.580
O 0.163 0.776 0.359
O 0.190 0.467 0.721
O 0.202 0.138 0.042
O 0.222 0.866 0.185
O 0.237 0.711 0.021
O 0.294 0.234 0.223
O 0.296 0.931 0.712
O 0.459 0.596 0.837
O 0.503 0.934 0.355
O 0.544 0.927 0.907
O 0.607 0.851 0.586
O 0.616 0.557 0.430
O 0.618 0.718 0.105
O 0.672 0.098 0.050
O 0.757 0.426 0.228
O 0.811 0.905 0.733
O 0.833 0.116 0.537
O 0.871 0.263 0.733
O 0.896 0.723 0.247
O 0.931 0.557 0.850
O 0.962 0.025 0.875

Top 8 peaks for 2θ = 10–90°, most intense first:
| 2theta | intensity |
| --- | --- |
| 29.71 | 100 |
| 31.50 | 95 |
| 25.38 | 87 |
| 31.90 | 76 |
| 28.54 | 75 |
| 31.24 | 64 |
| 25.11 | 60 |
| 17.36 | 47 |



Y3Cd: computed powder X-ray diffraction pattern (Cu Kα, 1.54184 Å), based on a cell relaxed with PBE.
Intensities are scaled so that the largest is 100.

Structure:
Unit cell a=4.879 b=4.879 c=4.879 alpha=90.00 beta=90.00 gamma=90.00
Fractional positions:
Y 0.000 0.000 0.500
Y 0.000 0.500 0.000
Y 0.500 0.000 0.000
Cd 0.500 0.500 0.500

Top 8 peaks for 2θ = 10–90°, most intense first:
| 2theta | intensity |
| --- | --- |
| 31.77 | 100 |
| 36.84 | 50 |
| 63.21 | 39 |
| 53.09 | 34 |
| 87.06 | 16 |
| 89.92 | 15 |
| 66.37 | 11 |
| 78.40 | 5 |



Y2O3: computed powder X-ray diffraction pattern (Cu Kα, 1.54184 Å), based on a cell relaxed with PBE.
Intensities are scaled so that the largest is 100.

Structure:
Unit cell a=8.617 b=3.503 c=14.505 alpha=90.00 beta=98.69 gamma=90.00
Fractional positions:
Y 0.005 0.250 0.106
Y 0.044 0.750 0.615
Y 0.316 0.250 0.784
Y 0.317 0.250 0.492
Y 0.322 0.750 0.282
Y 0.370 0.250 0.064
Y 0.630 0.750 0.936
Y 0.678 0.250 0.718
Y 0.683 0.750 0.508
Y 0.684 0.750 0.216
Y 0.956 0.250 0.385
Y 0.995 0.750 0.894
O 0.121 0.750 0.469
O 0.127 0.250 0.965
O 0.152 0.750 0.783
O 0.185 0.250 0.318
O 0.202 0.750 0.130
O 0.216 0.250 0.631
O 0.438 0.750 0.429
O 0.466 0.250 0.926
O 0.489 0.250 0.229
O 0.511 0.750 0.771
O 0.534 0.750 0.074
O 0.562 0.250 0.571
O 0.784 0.750 0.369
O 0.798 0.250 0.870
O 0.815 0.750 0.682
O 0.848 0.250 0.217
O 0.873 0.750 0.035
O 0.879 0.250 0.531

Top 8 peaks for 2θ = 10–90°, most intense first:
| 2theta | intensity |
| --- | --- |
| 28.43 | 100 |
| 30.07 | 94 |
| 31.67 | 73 |
| 33.11 | 71 |
| 53.45 | 70 |
| 31.51 | 58 |
| 47.37 | 57 |
| 43.10 | 55 |